(1)
# CuAg7
Calculated powder XRD pattern, Cu Ka. Input: a structure optimized by DFT (GGA-PBE).
Neutral-atom scattering factors, no anomalous dispersion.

Main lines, low angle first (2θ from 15° to 90°):
2theta, I (rel.)
21.7, 1
24.3, 1
32.7, 1
38.0, 100
44.0, 16
44.2, 32
64.2, 29
77.0, 11
77.1, 23
81.2, 10

Crystal structure
Lattice parameters (Å, degrees): 4.100 4.100 8.223 90.00 90.00 90.00
Fractional coordinates of all 8 atoms:
Cu 0.000 0.000 0.000
Ag 0.000 0.000 0.500
Ag 0.000 0.500 0.242
Ag 0.000 0.500 0.758
Ag 0.500 0.000 0.242
Ag 0.500 0.000 0.758
Ag 0.500 0.500 0.000
Ag 0.500 0.500 0.500

=====

(2)
# Cu3Ag7
Calculated powder XRD pattern, Cu Ka. Input: a structure optimized by DFT (GGA-PBE).
Neutral-atom scattering factors, no anomalous dispersion.

Main lines, low angle first (2θ from 15° to 90°):
2theta, I (rel.)
38.7, 50
38.9, 100
39.1, 47
44.7, 66
46.3, 28
64.9, 10
66.0, 19
66.6, 17
78.2, 23
78.5, 11

Crystal structure
Lattice parameters (Å, degrees): 4.882 2.872 11.578 90.00 96.12 90.00
Fractional coordinates of all 10 atoms:
Cu 0.000 0.000 0.000
Cu 0.104 0.500 0.819
Cu 0.313 0.500 0.417
Ag 0.207 0.000 0.617
Ag 0.401 0.000 0.222
Ag 0.482 0.500 0.012
Ag 0.614 0.000 0.815
Ag 0.707 0.500 0.610
Ag 0.823 0.000 0.408
Ag 0.907 0.500 0.197